[1]
Simulated powder XRD pattern
Compound: ZnAgF5
Radiation: λ = 1.5418 Å (Cu Kα)
Structure: a cell relaxed with GGA-PBE

Most intense lines, 15° ≤ 2θ ≤ 90°, low angle first:
2theta, I_rel, h k l
19.88, 41, 1 1 0
23.96, 68, 0 1 2
24.89, 33, 1 1 -2
25.48, 100, 1 2 0
29.61, 38, 1 2 -2
51.85, 21, 2 4 -2

Cell: 5.352 9.723 8.555 Å, 90.00 110.02 90.00°
Space group P2_1/c (No. 14)
One atom of each set of equivalent atoms:
Zn 0.011 0.006 0.210 (multiplicity 4)
Ag 0.396 0.244 0.631 (multiplicity 4)
F 0.107 0.113 0.637 (multiplicity 4)
F 0.131 0.109 0.006 (multiplicity 4)
F 0.245 0.141 0.346 (multiplicity 4)
F 0.313 0.629 0.370 (multiplicity 4)
F 0.341 0.610 0.735 (multiplicity 4)

***

[2]
Simulated powder XRD pattern
Compound: Tm2ZnNi7
Radiation: λ = 1.5418 Å (Cu Kα)
Structure: a cell relaxed with GGA-PBE

Most intense lines, 15° ≤ 2θ ≤ 90°, low angle first:
2theta, I_rel, h k l
35.15, 57, 1 0 3
38.16, 100, 1 1 2
48.79, 42, 2 0 0
49.82, 33, 1 0 5
61.54, 22, 2 1 3
72.30, 21, 2 1 5

Cell: 3.733 3.733 10.499 Å, 90.00 90.00 90.00°
Space group P-4m2 (No. 115)
One atom of each set of equivalent atoms:
Tm 0.000 0.500 0.236 (multiplicity 2)
Zn 0.000 0.000 0.500 (multiplicity 1)
Ni 0.000 0.000 0.000 (multiplicity 1)
Ni 0.000 0.500 0.646 (multiplicity 2)
Ni 0.000 0.500 0.861 (multiplicity 2)
Ni 0.500 0.500 0.000 (multiplicity 1)
Ni 0.500 0.500 0.500 (multiplicity 1)